Calculated powder XRD pattern
Compound: MgV2P2O10
Radiation: Cu Kα (weighted mean of Kα1 and Kα2)
Structure: a PBE+U-relaxed structure
Intensities are scaled so that the largest is 100.

```
15
Lattice="5.4785 0.0000 0.0000 1.7181 5.2519 0.0000 0.9983 0.7225 6.3300" Properties=species:S:1:pos:R:3 pbc="T T T"
Mg 0.0000 0.0000 0.0000
V 2.5752 1.8862 1.3182
V 5.6210 4.0869 5.0155
P 2.7015 1.9550 4.6570
P 5.4951 4.0221 1.6767
O 1.4752 3.6061 1.2731
O 1.2284 0.9345 1.3352
O 4.3785 5.7015 5.0972
O 3.0130 2.1564 3.1914
O 3.7524 2.7415 5.5251
O 4.4443 3.2338 0.8093
O 5.1791 3.8271 3.1430
O 3.8259 0.2751 1.2342
O 6.9775 5.0249 4.9978
O 6.7195 2.3640 5.0609
```

Main lines, most intense first (10° ≤ 2θ ≤ 90°):
2θ/deg, intensity
27.6, 100
20.3, 61
28.2, 48
14.0, 40
31.6, 39
22.4, 25
33.9, 18
33.6, 17
57.0, 13
42.9, 12

=====

Calculated powder XRD pattern
Compound: MgV2P2O10
Radiation: Cu Kα (weighted mean of Kα1 and Kα2)
Structure: a PBE+U-relaxed structure
Intensities are scaled so that the largest is 100.

```
15
Lattice="5.2661 0.0000 0.0000 -0.6741 5.3502 0.0000 -2.0961 -2.3882 6.2773" Properties=species:S:1:pos:R:3 pbc="T T T"
Mg 0.0000 0.0000 0.0000
V 2.0457 0.1283 4.8668
V 3.0664 1.4406 1.8043
P -0.6752 -1.1779 3.2906
P 1.6714 3.9304 0.1537
O -1.0782 2.7861 2.6759
O -1.6678 1.3313 5.5176
O 0.5090 -0.7872 4.1824
O 1.9663 -0.0274 0.7643
O 1.7897 2.7863 1.1601
O 0.9322 1.6697 5.6618
O 2.1994 1.0353 3.2679
O 4.1401 1.6279 0.1926
O 3.3410 -1.2767 4.2439
O 4.3950 -0.1449 2.1324
```

Main lines, most intense first (10° ≤ 2θ ≤ 90°):
2θ/deg, intensity
28.4, 100
27.7, 86
27.8, 66
18.2, 55
36.3, 54
26.4, 32
22.2, 27
45.0, 27
52.1, 25
18.6, 19

=====

Calculated powder XRD pattern
Compound: MgV4P2O13
Radiation: Cu Kα (weighted mean of Kα1 and Kα2)
Structure: a PBE+U-relaxed structure
Intensities are scaled so that the largest is 100.

```
20
Lattice="5.0746 0.0000 0.0000 0.8651 5.3351 0.0000 0.8221 1.3316 8.8778" Properties=species:S:1:pos:R:3 pbc="T T T"
Mg 0.0000 0.0000 0.0000
V 1.8109 4.0536 3.8176
V 3.5144 5.3980 6.9193
V 4.5372 1.9788 3.4378
V 5.3281 2.7337 0.5264
P 2.7087 0.2704 1.3300
P 5.1676 2.4795 6.4433
O 1.3762 1.7997 7.0049
O 2.4390 4.9175 8.4304
O 1.5238 1.0079 0.6682
O 2.8716 4.6886 5.5629
O 3.2260 4.9734 2.6394
O 2.9043 2.4720 3.7765
O 4.0192 1.4668 6.4951
O 4.1340 4.5277 0.3037
O 3.9510 1.2623 1.4172
O 4.9280 3.7186 7.3997
O 5.3958 2.9759 4.9858
O 5.9428 5.7002 3.8485
O 5.6734 3.1446 2.3560
```

Main lines, most intense first (10° ≤ 2θ ≤ 90°):
2θ/deg, intensity
26.3, 100
27.7, 52
30.2, 30
25.9, 14
43.4, 14
54.2, 12
37.0, 10
41.0, 8
45.3, 8
20.8, 8

=====

Calculated powder XRD pattern
Compound: MgV3P3O13
Radiation: Cu Kα (weighted mean of Kα1 and Kα2)
Structure: a PBE+U-relaxed structure
Intensities are scaled so that the largest is 100.

```
40
Lattice="7.6774 0.0000 0.0000 0.0000 6.4013 0.0000 -1.7799 0.0000 9.9428" Properties=species:S:1:pos:R:3 pbc="T T T"
Mg 0.6419 1.6003 1.8350
Mg 5.2556 4.8010 8.1078
V -0.3346 1.6003 7.9514
V 1.3880 4.8010 4.3070
V 3.8387 0.0000 0.0000
V 3.8387 3.2006 0.0000
V 4.5094 1.6003 5.6357
V 6.2321 4.8010 1.9913
P 1.1836 4.8010 1.0863
P 0.3938 4.8010 7.5825
P 1.2906 1.6003 4.9886
P 4.6069 4.8010 4.9542
P 5.5037 1.6003 2.3603
P 4.7139 1.6003 8.8564
O -1.6555 1.6003 9.7069
O -0.5756 3.6099 7.8460
O -0.5756 5.9920 7.8460
O 0.5570 4.8010 2.5206
O 0.1499 1.6003 6.0165
O 1.1931 0.4086 3.9993
O 1.1931 2.7921 3.9993
O 0.9868 4.8010 6.1900
O 2.0007 3.4902 0.9570
O 2.0007 6.1118 0.9570
O 1.3036 1.6003 9.0199
O 1.5481 4.8010 8.6221
O 2.6222 1.6003 5.7851
O 3.2753 4.8010 4.1577
O 4.3494 1.6003 1.3206
O 4.5939 4.8010 0.9229
O 3.8968 0.2895 8.9857
O 3.8968 2.9111 8.9857
O 4.9106 1.6003 3.7527
O 4.7044 3.6092 5.9434
O 4.7044 5.9927 5.9434
O 5.7476 4.8010 3.9262
O 5.3405 1.6003 7.4222
O 6.4730 0.4093 2.0968
O 6.4730 2.7914 2.0968
O 7.5530 4.8010 0.2359
```

Main lines, most intense first (10° ≤ 2θ ≤ 90°):
2θ/deg, intensity
19.6, 100
27.9, 74
31.3, 54
32.3, 50
30.4, 47
26.7, 47
23.5, 43
23.1, 34
39.1, 33
36.8, 29

=====

Calculated powder XRD pattern
Compound: MgV2P2O10
Radiation: Cu Kα (weighted mean of Kα1 and Kα2)
Structure: a PBE+U-relaxed structure
Intensities are scaled so that the largest is 100.

```
15
Lattice="6.2123 0.0000 0.0000 0.0000 6.2123 0.0000 0.0000 0.0000 5.3846" Properties=species:S:1:pos:R:3 pbc="T T T"
Mg 0.0000 0.0000 0.0000
V 0.0000 3.1062 4.0587
V 3.1062 0.0000 1.3259
P 0.0000 0.0000 2.6923
P 3.1062 3.1062 2.6923
O 0.0000 3.1062 0.3117
O 0.3062 1.1318 3.7029
O 1.1318 5.9061 1.6818
O 1.8566 3.4207 3.5519
O 2.7916 1.8566 1.8327
O 3.1062 0.0000 5.0729
O 3.4207 4.3557 1.8327
O 4.3557 2.7916 3.5519
O 5.0805 0.3062 1.6818
O 5.9061 5.0805 3.7029
```

Main lines, most intense first (10° ≤ 2θ ≤ 90°):
2θ/deg, intensity
21.8, 100
28.7, 76
26.2, 33
47.0, 25
58.1, 25
39.2, 23
16.5, 14
36.4, 14
56.0, 12
67.4, 12

=====

Calculated powder XRD pattern
Compound: MgV2P2O10
Radiation: Cu Kα (weighted mean of Kα1 and Kα2)
Structure: a PBE+U-relaxed structure
Intensities are scaled so that the largest is 100.

```
15
Lattice="4.8372 -3.1579 0.0000 4.8372 3.1579 0.0000 -0.6426 0.0000 6.3360" Properties=species:S:1:pos:R:3 pbc="T T T"
Mg 0.0000 0.0000 0.0000
V 2.6862 1.3489 1.5740
V 6.3456 1.3489 4.7620
P 1.8799 1.4216 4.7349
P 7.1519 1.4216 1.6011
O 2.8305 1.3551 3.5335
O 2.8153 1.5090 6.0007
O 0.9627 0.1547 4.8348
O 6.2165 1.5090 0.3353
O 3.2534 -0.5168 1.6285
O 6.2013 1.3551 2.8025
O 3.1080 -1.9185 5.1267
O 5.7784 -0.5168 4.7075
O 8.0691 0.1547 1.5012
O 5.9238 -1.9185 1.2093
```

Main lines, most intense first (10° ≤ 2θ ≤ 90°):
2θ/deg, intensity
18.4, 100
28.2, 75
34.0, 44
32.2, 30
24.3, 18
58.3, 17
31.3, 15
35.5, 13
21.3, 12
14.0, 10

=====

Calculated powder XRD pattern
Compound: MgV4P2O13
Radiation: Cu Kα (weighted mean of Kα1 and Kα2)
Structure: a PBE+U-relaxed structure
Intensities are scaled so that the largest is 100.

```
20
Lattice="5.1764 0.0000 0.0000 0.7081 5.2273 0.0000 0.6924 1.4235 8.7814" Properties=species:S:1:pos:R:3 pbc="T T T"
Mg 0.0000 0.0000 0.0000
V 0.8468 2.5828 5.4413
V 2.8853 4.2695 1.8818
V 4.2114 6.3621 7.5625
V 4.4762 1.0999 2.4619
P 1.6900 3.9849 8.4315
P 3.5256 4.7207 4.9064
O 0.6174 1.8136 0.9353
O 1.1491 4.8070 2.0592
O 2.2099 2.8755 7.4609
O 2.3907 3.7146 4.8276
O 2.8310 5.0819 8.6819
O 3.2061 5.9339 5.8422
O 3.7048 5.3013 3.4229
O 3.4990 2.7114 2.2826
O 3.2707 0.1505 0.7642
O 4.8900 4.1590 5.3051
O 5.0576 1.9500 6.9408
O 5.6912 4.8004 7.9142
O 5.5090 1.7360 4.0741
```

Main lines, most intense first (10° ≤ 2θ ≤ 90°):
2θ/deg, intensity
26.0, 100
26.6, 76
44.0, 37
28.1, 37
30.5, 33
24.4, 16
53.4, 14
27.5, 13
59.2, 13
45.1, 12

=====

Calculated powder XRD pattern
Compound: MgV2P2O10
Radiation: Cu Kα (weighted mean of Kα1 and Kα2)
Structure: a PBE+U-relaxed structure
Intensities are scaled so that the largest is 100.

```
15
Lattice="5.4171 0.0000 0.0000 -0.0367 6.3008 0.0000 -0.0093 -0.1467 6.3030" Properties=species:S:1:pos:R:3 pbc="T T T"
Mg 0.0000 0.0000 0.0000
V 0.3601 4.1305 4.2094
V 2.9605 1.2314 1.2898
P 4.3466 1.1190 4.2782
P 4.3723 4.2479 1.2257
O 0.0412 4.1564 2.2868
O 1.3393 0.9892 0.9999
O 1.9590 4.2935 4.4310
O 3.2193 1.1462 3.2490
O 3.2967 3.1727 1.3437
O 3.7820 5.7169 1.2708
O 3.8252 1.1564 5.7701
O 5.1179 4.1350 6.1578
O 5.1354 6.0853 4.2908
O 5.3546 2.2374 4.0869
```

Main lines, most intense first (10° ≤ 2θ ≤ 90°):
2θ/deg, intensity
21.6, 100
28.3, 95
16.4, 62
26.0, 49
21.7, 46
25.7, 45
46.3, 42
58.6, 16
26.1, 12
38.7, 11